No. 1
This entry pairs a crystal structure of Sr2HgBiSb with its theoretical XRD peak list. Radiation: λ = 1.5418 Å (Cu Kα). Structure: the PBE geometry in Alexandria.

Atomic structure:
```
Sr2HgBiSb
1.0
8.113 0.000 0.000
0.000 4.903 0.000
-0.002 0.000 8.780
Sr Hg Bi Sb
4 2 2 2
Cartesian
1.820 1.226 4.230
1.822 1.226 0.159
6.289 3.677 8.621
6.292 3.677 4.550
3.459 3.677 2.198
4.653 1.226 6.581
2.972 3.677 6.583
5.140 1.226 2.197
0.588 3.677 2.194
7.524 1.226 6.586
```

Largest 8 diffraction maxima, by angle, 2θ = 10–90°:
8.113 Å, 2θ 10.90, I 33
4.390 Å, 2θ 20.23, I 35
3.126 Å, 2θ 28.56, I 26
3.033 Å, 2θ 29.45, I 100
2.979 Å, 2θ 29.99, I 25
2.451 Å, 2θ 36.66, I 32
2.368 Å, 2θ 37.99, I 43
1.610 Å, 2θ 57.22, I 25

=====

No. 2
This entry pairs a crystal structure of Pa2TlNi2S6 with its theoretical XRD peak list. Radiation: λ = 1.5418 Å (Cu Kα). Structure: the PBE geometry in Alexandria.

Atomic structure:
```
Pa2TlNi2S6
1.0
7.019 0.000 0.000
3.506 6.207 0.000
3.303 1.781 6.179
Pa Tl Ni S
2 1 2 6
Cartesian
3.482 3.377 1.069
10.346 4.611 5.110
6.914 3.994 3.089
7.337 7.337 5.171
6.491 0.652 1.008
5.556 6.078 5.073
4.132 2.545 3.546
5.642 4.738 0.246
8.185 3.250 5.933
9.696 5.443 2.632
8.272 1.911 1.106
```

Largest 8 diffraction maxima, by angle, 2θ = 10–90°:
5.964 Å, 2θ 14.85, I 100
3.703 Å, 2θ 24.03, I 29
3.601 Å, 2θ 24.72, I 37
3.507 Å, 2θ 25.39, I 45
3.161 Å, 2θ 28.23, I 42
3.057 Å, 2θ 29.21, I 64
3.035 Å, 2θ 29.43, I 36
3.011 Å, 2θ 29.67, I 34